Computed powder diffraction line list of BaPbS2 for Cu Kα X-rays, from a PBE-relaxed structure.

Structural model:
```
4
Lattice="4.4023 0.0000 0.0000 -0.0045 4.5133 0.0000 -0.0007 -0.0261 6.3118" Properties=species:S:1:pos:R:3 pbc="T T T"
Ba 0.0000 0.0000 0.0000
Pb 2.2009 2.1189 3.0062
S 2.1993 2.2411 0.2278
S 4.3965 0.2785 3.1407
```

Main lines, in order of rising 2θ (10 to 80 degrees two-theta):
two_theta	d/Å	Rel. int.
24.24	3.671	45
24.66	3.611	42
28.31	3.153	100
39.95	2.257	12
40.39	2.233	25
40.51	2.227	23
41.00	2.201	13
47.58	1.911	13
48.20	1.888	15
50.56	1.805	13